Starting from a DFT-relaxed cell (GGA+U, the Materials Project), the X-ray powder pattern of Li5Fe2P2C2O14 was computed for a wavelength of 1.5418 Å.
No peak broadening, texture or thermal motion is included.

Atomic structure:
Cell: 6.490 9.418 10.098 Å, 62.97 89.83 88.94°
Atoms (fractional coordinates):
Li 0.011 0.230 0.259
Li 0.039 0.222 0.770
Li 0.254 0.393 0.940
Li 0.259 0.411 0.425
Li 0.484 0.229 0.259
Li 0.516 0.771 0.741
Li 0.741 0.589 0.575
Li 0.746 0.607 0.060
Li 0.961 0.778 0.230
Li 0.989 0.770 0.741
Fe 0.255 0.831 0.430
Fe 0.255 0.831 0.947
Fe 0.745 0.169 0.053
Fe 0.745 0.169 0.570
P 0.238 0.085 0.074
P 0.248 0.083 0.564
P 0.752 0.917 0.436
P 0.762 0.915 0.926
C 0.237 0.545 0.633
C 0.245 0.530 0.133
C 0.755 0.470 0.867
C 0.763 0.455 0.367
O 0.059 0.197 0.075
O 0.065 0.194 0.561
O 0.218 0.406 0.737
O 0.223 0.060 0.934
O 0.228 0.644 0.171
O 0.229 0.920 0.214
O 0.232 0.049 0.425
O 0.246 0.670 0.659
O 0.247 0.580 0.491
O 0.249 0.382 0.236
O 0.256 0.923 0.704
O 0.261 0.566 0.993
O 0.432 0.180 0.075
O 0.439 0.189 0.543
O 0.561 0.811 0.457
O 0.568 0.820 0.925
O 0.739 0.434 0.007
O 0.744 0.077 0.296
O 0.751 0.618 0.764
O 0.753 0.420 0.509
O 0.754 0.330 0.341
O 0.768 0.951 0.575
O 0.771 0.080 0.786
O 0.772 0.356 0.829
O 0.777 0.940 0.066
O 0.782 0.594 0.263
O 0.935 0.806 0.439
O 0.941 0.803 0.925

Top 6 peaks for 10 to 80 degrees two-theta, in order of falling intensity:
2theta  I/Imax
27.49  1000
10.55  833
21.42  579
19.74  433
26.40  352
36.36  239